[1]
For Fe3C9Se2O9, a PBE+U-relaxed structure gives the theoretical powder XRD pattern in this record (CuKα).
No peak broadening, texture or thermal motion is included.

Atomic structure:
a = 6.8379 Å, b = 9.2492 Å, c = 13.1365 Å
α = 94.02°, β = 94.44°, γ = 111.01°
Positions (direct):
Fe 0.0754 0.2320 0.3395
Fe 0.2158 0.3037 0.1578
Fe 0.3715 0.5949 0.2547
Fe 0.6285 0.4051 0.7453
Fe 0.7842 0.6963 0.8422
Fe 0.9246 0.7680 0.6605
C 0.0047 0.8706 0.8831
C 0.0853 0.3165 0.4663
C 0.1425 0.0666 0.3710
C 0.2047 0.8830 0.6796
C 0.2226 0.4131 0.0517
C 0.2948 0.7271 0.1776
C 0.3541 0.3187 0.7690
C 0.3988 0.6973 0.3779
C 0.4070 0.2258 0.1166
C 0.5930 0.7742 0.8834
C 0.6012 0.3027 0.6221
C 0.6459 0.6813 0.2310
C 0.7052 0.2729 0.8224
C 0.7774 0.5869 0.9483
C 0.7953 0.1170 0.3204
C 0.8575 0.9334 0.6290
C 0.9147 0.6835 0.5337
C 0.9953 0.1294 0.1169
Se 0.0100 0.4273 0.2479
Se 0.4341 0.3790 0.3194
Se 0.5659 0.6210 0.6806
Se 0.9900 0.5727 0.7521
O 0.0964 0.3729 0.5494
O 0.1456 0.9837 0.9154
O 0.1781 0.2584 0.7805
O 0.1803 0.9599 0.3940
O 0.2220 0.4765 0.9781
O 0.2479 0.8121 0.1295
O 0.3837 0.9566 0.6906
O 0.4214 0.7603 0.4599
O 0.4715 0.8242 0.9119
O 0.5285 0.1758 0.0881
O 0.5786 0.2397 0.5401
O 0.6163 0.0434 0.3094
O 0.7521 0.1879 0.8705
O 0.7780 0.5235 0.0219
O 0.8197 0.0401 0.6060
O 0.8219 0.7416 0.2195
O 0.8544 0.0163 0.0846
O 0.9036 0.6271 0.4506

Most intense lines, 2θ from 10° to 90°, by angle:
10.3 deg, rel. 95
11.7 deg, rel. 49
12.9 deg, rel. 37
13.6 deg, rel. 100
14.8 deg, rel. 42
15.4 deg, rel. 45
15.8 deg, rel. 33
16.2 deg, rel. 50
30.4 deg, rel. 35
31.5 deg, rel. 30

***

[2]
For Fe2TeWC10SeO10, a PBE+U-relaxed structure gives the theoretical powder XRD pattern in this record (CuKα).
No peak broadening, texture or thermal motion is included.

Atomic structure:
a = 6.9565 Å, b = 9.5695 Å, c = 13.8350 Å
α = 81.56°, β = 82.14°, γ = 85.34°
Positions (direct):
Fe 0.1467 0.1688 0.1345
Fe 0.2190 0.5003 0.2289
Fe 0.7810 0.4997 0.7711
Fe 0.8533 0.8312 0.8655
Te 0.0688 0.6142 0.8193
Te 0.9312 0.3858 0.1807
W 0.1057 0.2276 0.3353
W 0.8943 0.7724 0.6647
C 0.0536 0.6352 0.2787
C 0.0697 0.9163 0.8755
C 0.0742 0.6562 0.5711
C 0.1356 0.8889 0.6357
C 0.2012 0.2412 0.0095
C 0.2252 0.0244 0.3652
C 0.2789 0.5904 0.1089
C 0.2856 0.2539 0.4371
C 0.2924 0.0040 0.1372
C 0.4137 0.5481 0.2898
C 0.5863 0.4519 0.7102
C 0.7076 0.9960 0.8628
C 0.7144 0.7461 0.5629
C 0.7211 0.4096 0.8911
C 0.7748 0.9756 0.6348
C 0.7988 0.7588 0.9905
C 0.8644 0.1111 0.3643
C 0.9258 0.3438 0.4289
C 0.9303 0.0837 0.1245
C 0.9464 0.3648 0.7213
Se 0.3968 0.2795 0.1979
Se 0.6032 0.7205 0.8021
O 0.0484 0.2746 0.6915
O 0.1751 0.5926 0.5168
O 0.2074 0.9708 0.8851
O 0.2340 0.2896 0.9274
O 0.2718 0.9553 0.6199
O 0.2887 0.9090 0.3836
O 0.3158 0.6485 0.0295
O 0.3830 0.8970 0.1373
O 0.3880 0.2694 0.4935
O 0.4612 0.4187 0.6732
O 0.5388 0.5813 0.3268
O 0.6120 0.7306 0.5065
O 0.6170 0.1030 0.8627
O 0.6842 0.3515 0.9705
O 0.7113 0.0910 0.6164
O 0.7282 0.0447 0.3801
O 0.7660 0.7104 0.0726
O 0.7926 0.0292 0.1149
O 0.8249 0.4074 0.4832
O 0.9516 0.7254 0.3085

Most intense lines, 2θ from 10° to 90°, by angle:
10.6 deg, rel. 100
12.1 deg, rel. 51
12.9 deg, rel. 35
13.0 deg, rel. 36
13.7 deg, rel. 27
15.2 deg, rel. 13
15.5 deg, rel. 14
17.8 deg, rel. 20
30.2 deg, rel. 15
34.6 deg, rel. 14